Entry 1:
Structure and theoretical X-ray powder pattern of NaHg12 (a DFT-relaxed cell (PBE, Alexandria); copper Kα).
Neutral-atom scattering factors, no anomalous dispersion.

Main lines, by intensity (2θ = 10–80°):
31.69°, intensity 100, (3 0 1); 37.70°, intensity 59, (3 1 2); 60.46°, intensity 37, (5 3 0); 64.32°, intensity 25, (5 2 3); 28.27°, intensity 22, (2 2 0); 34.81°, intensity 19, (2 2 2); 71.70°, intensity 16, (6 1 3); 62.41°, intensity 14, (6 0 0); 47.78°, intensity 12, (3 3 2); 42.98°, intensity 9, (3 3 0); 52.24°, intensity 9, (5 0 1); 45.43°, intensity 8, (4 2 0)

Atomic structure:
```
data_NaHg12
_cell_length_a 8.928
_cell_length_b 8.928
_cell_length_c 8.928
_cell_angle_alpha 90.00
_cell_angle_beta 90.00
_cell_angle_gamma 90.00
_space_group_name_H-M_alt 'I m -3'
_space_group_IT_number 204
_space_group_name_Hall '-I 2 2 3'
loop_
_atom_site_label
_atom_site_type_symbol
_atom_site_fract_x
_atom_site_fract_y
_atom_site_fract_z
Na1 Na 0.000 0.000 0.000
Hg1 Hg 0.000 0.319 0.179
```

---

Entry 2:
Structure and theoretical X-ray powder pattern of Sm2Al3SiAu4 (a DFT-relaxed cell (PBE, Alexandria); copper Kα).
Neutral-atom scattering factors, no anomalous dispersion.

Main lines, by intensity (2θ = 10–80°):
33.67°, intensity 100, (1 1 2); 30.07°, intensity 79, (1 1 1); 41.16°, intensity 72, (2 0 0); 32.98°, intensity 66, (1 0 3); 26.61°, intensity 34, (1 0 2); 53.72°, intensity 33, (2 1 3); 25.76°, intensity 30, (0 0 3); 45.59°, intensity 27, (1 1 4); 48.53°, intensity 25, (1 0 5); 59.62°, intensity 24, (2 2 0); 70.25°, intensity 24, (3 1 2); 49.19°, intensity 22, (2 0 3)

Atomic structure:
```
data_Sm2Al3SiAu4
_cell_length_a 4.386
_cell_length_b 4.386
_cell_length_c 10.377
_cell_angle_alpha 90.00
_cell_angle_beta 90.00
_cell_angle_gamma 90.00
_space_group_name_H-M_alt 'P -4 m 2'
_space_group_IT_number 115
loop_
_space_group_symop_operation_xyz
'x,y,z'
'y,-x,-z'
'-x,-y,z'
'-y,x,-z'
'-x,y,z'
'-y,-x,-z'
'x,-y,z'
'y,x,-z'
loop_
_atom_site_label
_atom_site_type_symbol
_atom_site_fract_x
_atom_site_fract_y
_atom_site_fract_z
Sm1 Sm 0.000 0.500 0.247
Al1 Al 0.000 0.000 0.000
Al2 Al 0.000 0.500 0.632
Si1 Si 0.500 0.500 0.000
Au1 Au 0.000 0.000 0.500
Au2 Au 0.000 0.500 0.874
Au3 Au 0.500 0.500 0.500
```

---

Entry 3:
Structure and theoretical X-ray powder pattern of La3YSe6 (a DFT-relaxed cell (PBE, Alexandria); copper Kα).
Neutral-atom scattering factors, no anomalous dispersion.

Main lines, by intensity (2θ = 10–80°):
33.90°, intensity 100, (2 2 -2); 23.86°, intensity 95, (1 1 -3); 23.39°, intensity 92, (1 1 1); 42.68°, intensity 76, (3 1 -1); 28.47°, intensity 69, (2 1 -1); 43.51°, intensity 66, (3 1 -5); 36.54°, intensity 62, (1 3 -1); 40.72°, intensity 60, (0 2 4); 28.19°, intensity 53, (1 0 -4); 37.61°, intensity 49, (1 3 -2); 33.40°, intensity 49, (0 0 4); 30.44°, intensity 47, (1 1 -4)

Atomic structure:
```
data_La3YSe6
_cell_length_a 7.152
_cell_length_b 7.856
_cell_length_c 12.741
_cell_angle_alpha 90.00
_cell_angle_beta 122.63
_cell_angle_gamma 90.00
_space_group_name_H-M_alt 'P 1 21/c 1'
_space_group_IT_number 14
loop_
_space_group_symop_operation_xyz
'x,y,z'
'-x,-y,-z'
'-x,y+1/2,-z+1/2'
'x,-y+1/2,z+1/2'
loop_
_atom_site_label
_atom_site_type_symbol
_atom_site_fract_x
_atom_site_fract_y
_atom_site_fract_z
La1 La 0.000 0.000 0.000
La2 La 0.295 0.098 0.754
Y1 Y 0.500 0.000 0.500
Se1 Se 0.102 0.062 0.258
Se2 Se 0.263 0.681 0.081
Se3 Se 0.409 0.188 0.078
```

---

Entry 4:
Structure and theoretical X-ray powder pattern of ZnAgAu3 (a DFT-relaxed cell (PBE, Alexandria); copper Kα).
Neutral-atom scattering factors, no anomalous dispersion.

Main lines, by intensity (2θ = 10–80°):
38.12°, intensity 100, (1 -2 0); 38.25°, intensity 50, (1 2 -1); 37.72°, intensity 50, (0 2 -3); 42.24°, intensity 39, (1 0 2); 42.83°, intensity 37, (1 0 -3); 47.48°, intensity 23, (0 4 -1); 75.50°, intensity 15, (-2 2 3); 74.49°, intensity 14, (2 -2 2); 74.87°, intensity 13, (2 2 1); 62.06°, intensity 13, (2 0 -1); 61.38°, intensity 12, (0 0 5); 65.80°, intensity 8, (1 4 1)

Atomic structure:
```
data_ZnAgAu3
_cell_length_a 2.991
_cell_length_b 7.660
_cell_length_c 7.934
_cell_angle_alpha 104.55
_cell_angle_beta 100.07
_cell_angle_gamma 90.24
_space_group_name_H-M_alt 'P -1'
_space_group_IT_number 2
loop_
_space_group_symop_operation_xyz
'x,y,z'
'-x,-y,-z'
loop_
_atom_site_label
_atom_site_type_symbol
_atom_site_fract_x
_atom_site_fract_y
_atom_site_fract_z
Zn1 Zn 0.111 0.058 0.222
Ag1 Ag 0.099 0.543 0.188
Au1 Au 0.302 0.656 0.603
Au2 Au 0.307 0.148 0.615
Au3 Au 0.498 0.786 0.999
```